(1)
Diffraction record for Sm3Zn9Co2. The powder diffractogram is simulated, not measured: it uses a PBE-relaxed structure and Cu Kα (λ = 1.5418 Å).
Peak positions follow from Bragg's law for the DFT cell and can differ from measured ones.

```
Sm3Zn9Co2
1.0
-2.166 4.652 6.160
2.166 -4.652 6.160
2.166 4.652 -6.160
Sm Zn Co
3 9 2
direct
0.000 0.000 0.000 Sm
0.307 0.307 0.000 Sm
0.693 0.693 0.000 Sm
0.010 0.653 0.356 Zn
0.161 0.880 0.281 Zn
0.297 0.653 0.644 Zn
0.401 0.120 0.281 Zn
0.500 0.000 0.500 Zn
0.599 0.880 0.719 Zn
0.703 0.347 0.356 Zn
0.839 0.120 0.719 Zn
0.990 0.347 0.644 Zn
0.327 0.500 0.827 Co
0.673 0.500 0.173 Co
```

Most intense lines, 2θ from 10° to 80°, sorted by position:
| 2θ/deg | I (rel.) |
| --- | --- |
| 29.99 | 38 |
| 34.94 | 31 |
| 35.60 | 53 |
| 35.78 | 100 |
| 36.30 | 42 |
| 37.10 | 28 |
| 41.71 | 55 |
| 44.83 | 25 |
| 56.46 | 24 |
| 70.54 | 25 |

(2)
Diffraction record for SmZn7Co5. The powder diffractogram is simulated, not measured: it uses a PBE-relaxed structure and Cu Kα (λ = 1.5418 Å).
Peak positions follow from Bragg's law for the DFT cell and can differ from measured ones.

```
SmZn7Co5
1.0
-2.472 4.301 4.324
2.472 -4.301 4.324
2.472 4.301 -4.324
Sm Zn Co
1 7 5
direct
0.000 0.000 0.000 Sm
0.203 0.486 0.717 Zn
0.326 0.979 0.347 Zn
0.335 0.335 0.000 Zn
0.632 0.979 0.653 Zn
0.653 0.653 0.000 Zn
0.758 0.258 0.500 Zn
0.769 0.486 0.283 Zn
0.219 0.719 0.500 Co
0.477 0.480 0.491 Co
0.477 0.986 0.998 Co
0.988 0.480 0.002 Co
0.988 0.986 0.509 Co
```

Most intense lines, 2θ from 10° to 80°, sorted by position:
| 2θ/deg | I (rel.) |
| --- | --- |
| 36.06 | 23 |
| 36.22 | 30 |
| 36.34 | 22 |
| 41.78 | 33 |
| 41.96 | 100 |
| 42.06 | 62 |
| 42.16 | 32 |
| 47.34 | 41 |
| 69.23 | 21 |
| 76.46 | 24 |

(3)
Diffraction record for Sm7Zn2Co2. The powder diffractogram is simulated, not measured: it uses a PBE-relaxed structure and Cu Kα (λ = 1.5418 Å).
Peak positions follow from Bragg's law for the DFT cell and can differ from measured ones.

```
Sm7Zn2Co2
1.0
3.825 -5.553 0.000
3.825 5.553 0.000
0.000 0.000 7.017
Sm Zn Co
7 2 2
direct
0.000 0.000 0.000 Sm
0.000 0.500 0.254 Sm
0.000 0.500 0.746 Sm
0.500 0.000 0.254 Sm
0.500 0.000 0.746 Sm
0.500 0.500 0.246 Sm
0.500 0.500 0.754 Sm
0.165 0.165 0.500 Zn
0.835 0.835 0.500 Zn
0.298 0.702 0.000 Co
0.702 0.298 0.000 Co
```

Most intense lines, 2θ from 10° to 80°, sorted by position:
| 2θ/deg | I (rel.) |
| --- | --- |
| 26.54 | 20 |
| 28.33 | 95 |
| 29.13 | 54 |
| 30.13 | 25 |
| 32.24 | 67 |
| 37.21 | 46 |
| 38.40 | 100 |
| 47.53 | 20 |
| 52.14 | 20 |
| 60.40 | 23 |

(4)
Diffraction record for Co3Sn7. The powder diffractogram is simulated, not measured: it uses a PBE-relaxed structure and Cu Kα (λ = 1.5418 Å).
Peak positions follow from Bragg's law for the DFT cell and can differ from measured ones.

```
Co3Sn7
1.0
-4.629 4.629 4.629
4.629 -4.629 4.629
4.629 4.629 -4.629
Co Sn
6 14
direct
0.000 0.346 0.346 Co
0.000 0.654 0.654 Co
0.346 0.000 0.346 Co
0.346 0.346 0.000 Co
0.654 0.000 0.654 Co
0.654 0.654 0.000 Co
0.000 0.000 0.325 Sn
0.000 0.000 0.675 Sn
0.000 0.325 0.000 Sn
0.000 0.675 0.000 Sn
0.250 0.500 0.750 Sn
0.250 0.750 0.500 Sn
0.325 0.000 0.000 Sn
0.325 0.325 0.325 Sn
0.500 0.250 0.750 Sn
0.500 0.750 0.250 Sn
0.675 0.000 0.000 Sn
0.675 0.675 0.675 Sn
0.750 0.250 0.500 Sn
0.750 0.500 0.250 Sn
```

Most intense lines, 2θ from 10° to 80°, sorted by position:
| 2θ/deg | I (rel.) |
| --- | --- |
| 30.54 | 75 |
| 33.53 | 54 |
| 36.31 | 67 |
| 41.38 | 100 |
| 43.73 | 21 |
| 56.21 | 21 |
| 58.10 | 24 |
| 59.95 | 21 |
| 61.77 | 22 |
| 75.46 | 43 |

(5)
Diffraction record for Co2Sn13. The powder diffractogram is simulated, not measured: it uses a PBE-relaxed structure and Cu Kα (λ = 1.5418 Å).
Peak positions follow from Bragg's law for the DFT cell and can differ from measured ones.

```
Co2Sn13
1.0
6.960 0.000 0.000
0.545 6.944 0.000
0.463 3.453 8.171
Co Sn
2 13
direct
0.106 0.460 0.270 Co
0.894 0.540 0.730 Co
0.000 0.500 0.000 Sn
0.082 0.860 0.160 Sn
0.208 0.764 0.661 Sn
0.214 0.406 0.561 Sn
0.253 0.089 0.332 Sn
0.390 0.012 0.834 Sn
0.455 0.545 0.156 Sn
0.545 0.455 0.844 Sn
0.610 0.988 0.166 Sn
0.747 0.911 0.668 Sn
0.786 0.594 0.439 Sn
0.792 0.236 0.339 Sn
0.918 0.140 0.840 Sn
```

Most intense lines, 2θ from 10° to 80°, sorted by position:
| 2θ/deg | I (rel.) |
| --- | --- |
| 28.18 | 93 |
| 29.84 | 100 |
| 30.20 | 58 |
| 32.75 | 41 |
| 33.71 | 56 |
| 33.90 | 36 |
| 34.33 | 35 |
| 40.80 | 54 |
| 42.44 | 40 |
| 43.62 | 37 |

(6)
Diffraction record for Tb3Co8Sn4. The powder diffractogram is simulated, not measured: it uses a PBE-relaxed structure and Cu Kα (λ = 1.5418 Å).
Peak positions follow from Bragg's law for the DFT cell and can differ from measured ones.

```
Tb3Co8Sn4
1.0
8.920 0.000 0.000
-4.460 7.725 0.000
0.000 0.000 7.453
Tb Co Sn
6 16 8
direct
0.059 0.530 0.000 Tb
0.470 0.530 0.000 Tb
0.470 0.941 0.000 Tb
0.530 0.059 0.500 Tb
0.530 0.470 0.500 Tb
0.941 0.470 0.500 Tb
0.000 0.000 0.222 Co
0.000 0.000 0.722 Co
0.097 0.195 0.977 Co
0.097 0.903 0.977 Co
0.159 0.317 0.670 Co
0.159 0.841 0.670 Co
0.195 0.097 0.477 Co
0.317 0.159 0.170 Co
0.333 0.667 0.286 Co
0.667 0.333 0.786 Co
0.683 0.841 0.670 Co
0.805 0.903 0.977 Co
0.841 0.159 0.170 Co
0.841 0.683 0.170 Co
0.903 0.097 0.477 Co
0.903 0.805 0.477 Co
0.171 0.343 0.297 Sn
0.171 0.829 0.297 Sn
0.333 0.667 0.664 Sn
0.343 0.171 0.797 Sn
0.657 0.829 0.297 Sn
0.667 0.333 0.164 Sn
0.829 0.171 0.797 Sn
0.829 0.657 0.797 Sn
```

Most intense lines, 2θ from 10° to 80°, sorted by position:
| 2θ/deg | I (rel.) |
| --- | --- |
| 25.98 | 18 |
| 32.95 | 38 |
| 33.41 | 100 |
| 36.93 | 45 |
| 38.05 | 34 |
| 39.20 | 26 |
| 40.45 | 88 |
| 42.68 | 17 |
| 43.30 | 18 |
| 64.60 | 36 |

(7)
Diffraction record for Tb4Co2Sn. The powder diffractogram is simulated, not measured: it uses a PBE-relaxed structure and Cu Kα (λ = 1.5418 Å).
Peak positions follow from Bragg's law for the DFT cell and can differ from measured ones.

```
Tb4Co2Sn
1.0
6.716 0.000 0.000
-1.674 6.706 0.000
-2.510 -3.358 7.386
Tb Co Sn
8 4 2
direct
0.000 0.000 0.000 Tb
0.032 0.720 0.576 Tb
0.124 0.312 0.760 Tb
0.265 0.635 0.205 Tb
0.506 0.572 0.591 Tb
0.582 0.148 0.742 Tb
0.669 0.168 0.335 Tb
0.727 0.595 0.130 Tb
0.037 0.376 0.315 Co
0.388 0.229 0.022 Co
0.733 0.898 0.509 Co
0.889 0.556 0.825 Co
0.152 0.065 0.399 Sn
0.422 0.834 0.936 Sn
```

Most intense lines, 2θ from 10° to 80°, sorted by position:
| 2θ/deg | I (rel.) |
| --- | --- |
| 28.06 | 35 |
| 29.28 | 56 |
| 32.48 | 41 |
| 32.98 | 48 |
| 33.14 | 100 |
| 33.44 | 51 |
| 33.92 | 52 |
| 35.59 | 48 |
| 36.79 | 56 |
| 41.25 | 37 |

(8)
Diffraction record for Tb12Co5Sn. The powder diffractogram is simulated, not measured: it uses a PBE-relaxed structure and Cu Kα (λ = 1.5418 Å).
Peak positions follow from Bragg's law for the DFT cell and can differ from measured ones.

```
Tb12Co5Sn
1.0
-4.724 4.745 4.942
4.724 -4.745 4.942
4.724 4.745 -4.942
Tb Co Sn
12 5 1
direct
0.013 0.206 0.808 Tb
0.186 0.294 0.480 Tb
0.186 0.706 0.892 Tb
0.314 0.008 0.694 Tb
0.314 0.620 0.306 Tb
0.398 0.206 0.192 Tb
0.602 0.794 0.808 Tb
0.686 0.380 0.694 Tb
0.686 0.992 0.306 Tb
0.814 0.294 0.108 Tb
0.814 0.706 0.520 Tb
0.987 0.794 0.192 Tb
0.000 0.000 0.000 Co
0.112 0.612 0.500 Co
0.379 0.000 0.379 Co
0.621 0.000 0.621 Co
0.888 0.388 0.500 Co
0.500 0.500 0.000 Sn
```

Most intense lines, 2θ from 10° to 80°, sorted by position:
| 2θ/deg | I (rel.) |
| --- | --- |
| 28.69 | 28 |
| 29.65 | 27 |
| 29.89 | 30 |
| 32.30 | 100 |
| 34.51 | 56 |
| 35.00 | 54 |
| 35.37 | 49 |
| 54.77 | 26 |
| 59.52 | 20 |
| 60.03 | 29 |

(9)
Diffraction record for TbCoSn6. The powder diffractogram is simulated, not measured: it uses a PBE-relaxed structure and Cu Kα (λ = 1.5418 Å).
Peak positions follow from Bragg's law for the DFT cell and can differ from measured ones.

```
TbCoSn6
1.0
3.630 -4.703 0.000
3.630 4.703 0.000
-1.814 0.000 6.014
Tb Co Sn
1 1 6
direct
0.000 0.000 0.000 Tb
0.500 0.500 0.500 Co
0.204 0.603 0.211 Sn
0.207 0.207 0.631 Sn
0.397 0.796 0.789 Sn
0.603 0.204 0.211 Sn
0.793 0.793 0.369 Sn
0.796 0.397 0.789 Sn
```

Most intense lines, 2θ from 10° to 80°, sorted by position:
| 2θ/deg | I (rel.) |
| --- | --- |
| 30.30 | 52 |
| 31.30 | 51 |
| 32.02 | 47 |
| 33.29 | 60 |
| 35.43 | 47 |
| 36.37 | 60 |
| 38.57 | 100 |
| 57.25 | 26 |
| 59.51 | 29 |
| 62.67 | 28 |

(10)
Diffraction record for CoTc2Sn6. The powder diffractogram is simulated, not measured: it uses a PBE-relaxed structure and Cu Kα (λ = 1.5418 Å).
Peak positions follow from Bragg's law for the DFT cell and can differ from measured ones.

```
CoTc2Sn6
1.0
6.262 0.000 0.000
0.000 6.998 0.000
-5.477 0.000 8.490
Co Tc Sn
2 4 12
direct
0.000 0.000 0.000 Co
0.000 0.500 0.500 Co
0.197 0.148 0.749 Tc
0.197 0.352 0.249 Tc
0.803 0.648 0.751 Tc
0.803 0.852 0.251 Tc
0.076 0.166 0.437 Sn
0.076 0.334 0.937 Sn
0.310 0.675 0.445 Sn
0.310 0.825 0.945 Sn
0.417 0.010 0.262 Sn
0.417 0.490 0.762 Sn
0.583 0.510 0.238 Sn
0.583 0.990 0.738 Sn
0.690 0.175 0.055 Sn
0.690 0.325 0.555 Sn
0.924 0.666 0.063 Sn
0.924 0.834 0.563 Sn
```

Most intense lines, 2θ from 10° to 80°, sorted by position:
| 2θ/deg | I (rel.) |
| --- | --- |
| 31.41 | 50 |
| 31.60 | 56 |
| 32.30 | 39 |
| 33.55 | 51 |
| 34.04 | 75 |
| 36.00 | 81 |
| 36.48 | 49 |
| 38.34 | 39 |
| 41.02 | 60 |
| 41.32 | 100 |

(11)
Diffraction record for ThCo6Sn12. The powder diffractogram is simulated, not measured: it uses a PBE-relaxed structure and Cu Kα (λ = 1.5418 Å).
Peak positions follow from Bragg's law for the DFT cell and can differ from measured ones.

```
ThCo6Sn12
1.0
6.179 3.567 2.942
-6.179 3.567 2.942
0.000 -7.135 2.942
Th Co Sn
1 6 12
direct
0.000 0.000 0.000 Th
0.276 0.276 0.698 Co
0.276 0.698 0.276 Co
0.302 0.724 0.724 Co
0.698 0.276 0.276 Co
0.724 0.302 0.724 Co
0.724 0.724 0.302 Co
0.121 0.500 0.879 Sn
0.121 0.879 0.500 Sn
0.150 0.407 0.407 Sn
0.407 0.150 0.407 Sn
0.407 0.407 0.150 Sn
0.500 0.121 0.879 Sn
0.500 0.879 0.121 Sn
0.593 0.593 0.850 Sn
0.593 0.850 0.593 Sn
0.850 0.593 0.593 Sn
0.879 0.121 0.500 Sn
0.879 0.500 0.121 Sn
```

Most intense lines, 2θ from 10° to 80°, sorted by position:
| 2θ/deg | I (rel.) |
| --- | --- |
| 31.81 | 100 |
| 33.74 | 56 |
| 36.48 | 21 |
| 38.04 | 20 |
| 39.71 | 28 |
| 42.12 | 19 |
| 43.96 | 19 |
| 44.41 | 22 |
| 47.19 | 42 |
| 61.08 | 20 |

(12)
Diffraction record for Th12Co5Sn. The powder diffractogram is simulated, not measured: it uses a PBE-relaxed structure and Cu Kα (λ = 1.5418 Å).
Peak positions follow from Bragg's law for the DFT cell and can differ from measured ones.

```
Th12Co5Sn
1.0
-4.721 4.818 5.194
4.721 -4.818 5.194
4.721 4.818 -5.194
Th Co Sn
12 5 1
direct
0.028 0.204 0.823 Th
0.183 0.308 0.491 Th
0.183 0.692 0.875 Th
0.328 0.014 0.686 Th
0.328 0.642 0.314 Th
0.381 0.204 0.177 Th
0.619 0.796 0.823 Th
0.672 0.358 0.686 Th
0.672 0.986 0.314 Th
0.817 0.308 0.125 Th
0.817 0.692 0.509 Th
0.972 0.796 0.177 Th
0.000 0.000 0.000 Co
0.129 0.629 0.500 Co
0.360 0.000 0.360 Co
0.640 0.000 0.640 Co
0.871 0.371 0.500 Co
0.500 0.500 0.000 Sn
```

Most intense lines, 2θ from 10° to 80°, sorted by position:
| 2θ/deg | I (rel.) |
| --- | --- |
| 27.42 | 70 |
| 29.10 | 60 |
| 29.87 | 70 |
| 31.64 | 100 |
| 33.41 | 90 |
| 34.17 | 99 |
| 35.14 | 60 |
| 52.45 | 38 |
| 58.16 | 31 |
| 59.51 | 47 |